This entry pairs a crystal structure of Tb8Dy4Ho3 with its calculated X-ray powder pattern. Radiation: CuKα. Structure: a structure optimized by DFT (GGA-PBE).
No peak broadening, texture or thermal motion is included.

Main lines, sorted by position (10 to 90 degrees two-theta):
30.04 deg, I 281; 30.54 deg, I 572; 31.63 deg, I 1000; 36.37 deg, I 729; 53.08 deg, I 376; 62.49 deg, I 449

Crystal structure
```
data_Tb8Dy4Ho3
_chemical_formula_sum 'Tb8 Dy4 Ho3'
_space_group_name_H-M_alt 'P 1'
_space_group_IT_number 1
_cell_length_a 12.3681
_cell_length_b 12.3681
_cell_length_c 12.3681
_cell_angle_alpha 32.40
_cell_angle_beta 32.40
_cell_angle_gamma 32.40
loop_
_space_group_symop_operation_xyz
'x,y,z'
loop_
_atom_site_label
_atom_site_fract_x
_atom_site_fract_y
_atom_site_fract_z
_atom_site_occupancy
Tb1 0.2452 0.2452 0.2452 1
Tb2 0.2479 0.7503 0.7503 1
Tb3 0.2497 0.2497 0.7521 1
Tb4 0.2497 0.7521 0.2497 1
Tb5 0.7503 0.2479 0.7503 1
Tb6 0.7503 0.7503 0.2479 1
Tb7 0.7521 0.2497 0.2497 1
Tb8 0.7548 0.7548 0.7548 1
Dy1 0.0000 0.0000 0.0000 1
Dy2 0.3362 0.3362 0.3362 1
Dy3 0.5000 0.5000 0.5000 1
Dy4 0.6638 0.6638 0.6638 1
Ho1 0.0000 0.0000 0.5000 1
Ho2 0.0000 0.5000 0.0000 1
Ho3 0.5000 0.0000 0.0000 1
```